Entry 1:
This entry pairs a crystal structure of NaMg3P3H2O12 with its simulated PXRD pattern. Radiation: Cu Kα, 1.54184 Å. Structure: a structure optimized by DFT (GGA-PBE).

Structure:
```
data_NaMg3P3H2O12
_cell_length_a 11.9471
_cell_length_b 12.1718
_cell_length_c 6.5617
_cell_angle_alpha 90.00
_cell_angle_beta 113.97
_cell_angle_gamma 90.00
_symmetry_space_group_name_H-M 'C 1 2/c 1'
_symmetry_Int_Tables_number 15
loop_
_symmetry_equiv_pos_as_xyz
'x,y,z'
'-x,-y,-z'
'-x,y,-z+1/2'
'x,-y,z+1/2'
'x+1/2,y+1/2,z'
'-x+1/2,-y+1/2,-z'
'-x+1/2,y+1/2,-z+1/2'
'x+1/2,-y+1/2,z+1/2'
loop_
_atom_site_label
_atom_site_type_symbol
_atom_site_fract_x
_atom_site_fract_y
_atom_site_fract_z
Na1 Na 0.0000 0.0250 0.2500
Mg1 Mg 0.0000 0.2764 0.7500
Mg2 Mg 0.2124 0.1622 0.6257
P1 P 0.0000 0.3155 0.2500
P2 P 0.2168 0.1116 0.1128
H1 H 0.1174 0.4915 0.8044
O1 O 0.0372 0.2416 0.4629
O2 O 0.1079 0.3913 0.2639
O3 O 0.1412 0.4071 0.8412
O4 O 0.1540 0.1720 0.8878
O5 O 0.1564 0.0012 0.5991
O6 O 0.2142 0.1796 0.3076
```

Most intense lines, 10 to 90 degrees two-theta, sorted by position:
2θ = 14.55°, I 43, hkl 0 2 0
2θ = 16.24°, I 28, hkl 2 0 0
2θ = 22.41°, I 26, hkl 2 2 -1
2θ = 28.45°, I 100, hkl 1 1 -2
2θ = 29.54°, I 37, hkl 1 3 1
2θ = 29.80°, I 26, hkl 0 0 2
2θ = 33.05°, I 72, hkl 3 3 0
2θ = 33.72°, I 74, hkl 2 4 0
2θ = 36.07°, I 25, hkl 4 2 0
2θ = 42.04°, I 30, hkl 5 1 0
2θ = 56.69°, I 30, hkl 2 0 -4
2θ = 63.93°, I 32, hkl 3 7 1

***

Entry 2:
This entry pairs a crystal structure of Na3MgP2HO8 with its simulated PXRD pattern. Radiation: Cu Kα, 1.54184 Å. Structure: a structure optimized by DFT (GGA-PBE).

Structure:
```
data_Na3MgP2HO8
_cell_length_a 5.2244
_cell_length_b 5.2849
_cell_length_c 6.8952
_cell_angle_alpha 90.43
_cell_angle_beta 91.74
_cell_angle_gamma 117.60
_symmetry_space_group_name_H-M 'P -1'
_symmetry_Int_Tables_number 2
loop_
_symmetry_equiv_pos_as_xyz
'x,y,z'
'-x,-y,-z'
loop_
_atom_site_label
_atom_site_type_symbol
_atom_site_fract_x
_atom_site_fract_y
_atom_site_fract_z
Na1 Na 0.0000 0.0000 0.0000
Na2 Na 0.3362 0.7000 0.7087
Mg1 Mg 0.0000 0.0000 0.5000
P1 P 0.3389 0.6466 0.2559
H1 H 0.0000 0.5000 0.0000
O1 O 0.2126 0.3218 0.2914
O2 O 0.2128 0.7850 0.3951
O3 O 0.2448 0.6811 0.0407
O4 O 0.3274 0.2039 0.7259
```

Most intense lines, 10 to 90 degrees two-theta, sorted by position:
2θ = 22.72°, I 36, hkl 0 1 -1
2θ = 23.51°, I 46, hkl -1 1 1
2θ = 25.86°, I 29, hkl 0 0 2
2θ = 31.82°, I 53, hkl 1 0 -2
2θ = 32.64°, I 25, hkl 0 1 2
2θ = 32.96°, I 100, hkl 1 1 0
2θ = 33.97°, I 57, hkl 1 -2 0
2θ = 34.37°, I 45, hkl 2 -1 0
2θ = 39.23°, I 20, hkl 0 0 3
2θ = 46.37°, I 29, hkl 0 2 -2
2θ = 48.04°, I 32, hkl -2 2 2
2θ = 59.20°, I 21, hkl -3 1 2

***

Entry 3:
This entry pairs a crystal structure of NaMgPH12O11 with its simulated PXRD pattern. Radiation: Cu Kα, 1.54184 Å. Structure: a structure optimized by DFT (GGA-PBE).

Structure:
```
data_NaMgPH12O11
_cell_length_a 6.8586
_cell_length_b 6.8586
_cell_length_c 10.9414
_cell_angle_alpha 90.00
_cell_angle_beta 90.00
_cell_angle_gamma 90.00
_symmetry_space_group_name_H-M 'P 42/m m c'
_symmetry_Int_Tables_number 131
_symmetry_space_group_name_Hall '-P 4c 2'
loop_
_atom_site_label
_atom_site_type_symbol
_atom_site_fract_x
_atom_site_fract_y
_atom_site_fract_z
Na1 Na 0.0000 0.0000 0.0000
Mg1 Mg 0.0000 0.5000 0.0000
P1 P 0.5000 0.5000 0.2500
H1 H 0.1178 0.5000 0.2430
H2 H 0.2822 0.3082 0.4289
O1 O 0.0000 0.0000 0.2500
O2 O 0.0000 0.5000 0.1881
O3 O 0.2160 0.2736 0.0000
O4 O 0.3141 0.5000 0.3314
```

Most intense lines, 10 to 90 degrees two-theta, sorted by position:
2θ = 12.91°, I 71, hkl 1 0 0
2θ = 15.25°, I 84, hkl 1 0 1
2θ = 20.77°, I 100, hkl 1 0 2
2θ = 24.53°, I 20, hkl 1 1 2
2θ = 25.98°, I 34, hkl 2 0 0
2θ = 30.26°, I 39, hkl 2 1 1
2θ = 30.77°, I 88, hkl 2 0 2
2θ = 32.74°, I 34, hkl 0 0 4
2θ = 37.07°, I 57, hkl 2 2 0
2θ = 38.34°, I 23, hkl 2 1 3
2θ = 50.28°, I 55, hkl 2 2 4
2θ = 53.44°, I 32, hkl 4 0 0

***

What did the second record say?
This entry pairs a crystal structure of Na3MgP2HO8 with its simulated PXRD pattern. Radiation: Cu Kα, 1.54184 Å. Structure: a structure optimized by DFT (GGA-PBE).

Structure:
```
data_Na3MgP2HO8
_cell_length_a 5.2244
_cell_length_b 5.2849
_cell_length_c 6.8952
_cell_angle_alpha 90.43
_cell_angle_beta 91.74
_cell_angle_gamma 117.60
_symmetry_space_group_name_H-M 'P -1'
_symmetry_Int_Tables_number 2
loop_
_symmetry_equiv_pos_as_xyz
'x,y,z'
'-x,-y,-z'
loop_
_atom_site_label
_atom_site_type_symbol
_atom_site_fract_x
_atom_site_fract_y
_atom_site_fract_z
Na1 Na 0.0000 0.0000 0.0000
Na2 Na 0.3362 0.7000 0.7087
Mg1 Mg 0.0000 0.0000 0.5000
P1 P 0.3389 0.6466 0.2559
H1 H 0.0000 0.5000 0.0000
O1 O 0.2126 0.3218 0.2914
O2 O 0.2128 0.7850 0.3951
O3 O 0.2448 0.6811 0.0407
O4 O 0.3274 0.2039 0.7259
```

Most intense lines, 10 to 90 degrees two-theta, sorted by position:
2θ = 22.72°, I 36, hkl 0 1 -1
2θ = 23.51°, I 46, hkl -1 1 1
2θ = 25.86°, I 29, hkl 0 0 2
2θ = 31.82°, I 53, hkl 1 0 -2
2θ = 32.64°, I 25, hkl 0 1 2
2θ = 32.96°, I 100, hkl 1 1 0
2θ = 33.97°, I 57, hkl 1 -2 0
2θ = 34.37°, I 45, hkl 2 -1 0
2θ = 39.23°, I 20, hkl 0 0 3
2θ = 46.37°, I 29, hkl 0 2 -2
2θ = 48.04°, I 32, hkl -2 2 2
2θ = 59.20°, I 21, hkl -3 1 2